[1]
Diffraction record for Fe3Ag4. The powder diffraction line list is simulated, not measured: it uses a DFT-relaxed cell (GGA-PBE, Alexandria) and Cu Kα, 1.54184 Å.
Neutral-atom scattering factors, no anomalous dispersion.

Main lines, by angle (10 to 90 degrees two-theta):
d 2.711, 2θ = 33.05°, intensity 11; d 2.513, 2θ = 35.72°, intensity 7; d 2.284, 2θ = 39.44°, intensity 100; d 2.011, 2θ = 45.08°, intensity 37; d 1.917, 2θ = 47.42°, intensity 10; d 1.422, 2θ = 65.65°, intensity 11; d 1.388, 2θ = 67.49°, intensity 13; d 1.265, 2θ = 75.08°, intensity 6; d 1.207, 2θ = 79.37°, intensity 23; d 1.142, 2θ = 84.90°, intensity 7

Cell lengths 13.5713, 13.5713, 13.5713 Å; angles 167.97, 167.97, 17.04 degrees
Fractional positions:
Fe 0.0000 0.0000 0.0000
Fe 0.2750 0.2750 0.0000
Fe 0.7250 0.7250 0.0000
Ag 0.1525 0.1525 0.0000
Ag 0.4286 0.4286 0.0000
Ag 0.5714 0.5714 0.0000
Ag 0.8475 0.8475 0.0000

[2]
Diffraction record for FeAg3. The powder diffraction line list is simulated, not measured: it uses a DFT-relaxed cell (GGA-PBE, Alexandria) and Cu Kα, 1.54184 Å.
Neutral-atom scattering factors, no anomalous dispersion.

Main lines, by angle (10 to 90 degrees two-theta):
d 2.363, 2θ = 38.08°, intensity 35; d 2.330, 2θ = 38.65°, intensity 100; d 2.058, 2θ = 43.99°, intensity 23; d 2.008, 2θ = 45.15°, intensity 42; d 1.445, 2θ = 64.48°, intensity 14; d 1.430, 2θ = 65.25°, intensity 13; d 1.234, 2θ = 77.30°, intensity 8; d 1.222, 2θ = 78.24°, intensity 8; d 1.213, 2θ = 78.96°, intensity 15; d 1.165, 2θ = 82.88°, intensity 10

Cell lengths 4.9310, 4.9310, 5.0460 Å; angles 99.09, 99.09, 33.29 degrees
Fractional positions:
Fe 0.0000 0.0000 0.0000
Ag 0.2547 0.2547 0.7578
Ag 0.5000 0.5000 0.5000
Ag 0.7453 0.7453 0.2422